This entry pairs a crystal structure of PaCrTeO6 with its theoretical powder X-ray diffraction pattern. Radiation: Cu Kα (λ = 1.5418 Å). Structure: a GGA+U-relaxed structure.
No peak broadening, texture or thermal motion is included.

Principal peaks in the range 2θ from 10° to 90°, most intense first:
(1 0 2), 27.37°, rel. 100
(1 1 0), 31.93°, rel. 79
(1 1 2), 38.08°, rel. 75
(2 -1 4), 52.94°, rel. 61
(0 0 2), 20.20°, rel. 56
(1 0 0), 18.28°, rel. 32
(2 0 2), 42.55°, rel. 30
(3 -1 2), 54.17°, rel. 30
(3 0 0), 56.91°, rel. 29
(1 0 1), 20.90°, rel. 27

Structural model:
a b c (Å): 5.605 5.605 8.793
angles (deg): 90.00 90.00 120.00
Atoms (fractional coordinates):
Pa (0.333, 0.667, 0.250)
Pa (0.667, 0.333, 0.750)
Cr (0.000, 0.000, 0.000)
Cr (0.000, 0.000, 0.500)
Te (0.333, 0.667, 0.750)
Te (0.667, 0.333, 0.250)
O (0.004, 0.322, 0.124)
O (0.004, 0.681, 0.376)
O (0.319, 0.322, 0.376)
O (0.319, 0.996, 0.124)
O (0.322, 0.004, 0.624)
O (0.322, 0.319, 0.876)
O (0.678, 0.681, 0.124)
O (0.678, 0.996, 0.376)
O (0.681, 0.004, 0.876)
O (0.681, 0.678, 0.624)
O (0.996, 0.319, 0.624)
O (0.996, 0.678, 0.876)